Ac2CdGe: simulated X-ray powder pattern (copper Kα), based on a GGA-PBE-relaxed structure.
No peak broadening, texture or thermal motion is included.

a = 7.9613 Å, b = 7.9613 Å, c = 7.9613 Å
α = 90.00°, β = 90.00°, γ = 90.00°
Space group Fm-3m (No. 225)
Symmetry-distinct sites (fractional):
Ac  0.2500  0.2500  0.2500
Cd  0.0000  0.0000  0.0000
Ge  0.0000  0.0000  0.5000

Largest 10 diffraction maxima, in order of rising 2θ, 2θ from 10° to 90°:
d/Å	I/Imax	(hkl)
3.981	18	2 0 0
2.815	100	2 2 0
2.298	6	2 2 2
1.990	19	4 0 0
1.780	9	4 2 0
1.625	39	4 2 2
1.407	12	4 4 0
1.327	4	6 0 0
1.259	17	6 2 0
1.149	4	4 4 4



AcLaCd2: simulated X-ray powder pattern (copper Kα), based on a GGA-PBE-relaxed structure.
No peak broadening, texture or thermal motion is included.

a = 8.0276 Å, b = 8.0276 Å, c = 8.0276 Å
α = 90.00°, β = 90.00°, γ = 90.00°
Space group Fm-3m (No. 225)
Symmetry-distinct sites (fractional):
Ac  0.0000  0.0000  0.0000
La  0.0000  0.0000  0.5000
Cd  0.2500  0.2500  0.2500

Largest 10 diffraction maxima, in order of rising 2θ, 2θ from 10° to 90°:
d/Å	I/Imax	(hkl)
4.635	4	1 1 1
4.014	5	2 0 0
2.838	100	2 2 0
2.420	3	3 1 1
2.007	18	4 0 0
1.795	3	4 2 0
1.639	39	4 2 2
1.419	12	4 4 0
1.269	16	6 2 0
1.159	4	4 4 4



Ac2CdSn: simulated X-ray powder pattern (copper Kα), based on a GGA-PBE-relaxed structure.
No peak broadening, texture or thermal motion is included.

a = 8.1766 Å, b = 8.1766 Å, c = 8.1766 Å
α = 90.00°, β = 90.00°, γ = 90.00°
Space group Fm-3m (No. 225)
Symmetry-distinct sites (fractional):
Ac  0.2500  0.2500  0.2500
Cd  0.0000  0.0000  0.0000
Sn  0.0000  0.0000  0.5000

Largest 10 diffraction maxima, in order of rising 2θ, 2θ from 10° to 90°:
d/Å	I/Imax	(hkl)
4.088	10	2 0 0
2.891	100	2 2 0
2.360	3	2 2 2
2.044	19	4 0 0
1.828	5	4 2 0
1.669	40	4 2 2
1.445	13	4 4 0
1.293	18	6 2 0
1.180	4	4 4 4
1.093	22	6 4 2



Ac2TlCd: simulated X-ray powder pattern (copper Kα), based on a GGA-PBE-relaxed structure.
No peak broadening, texture or thermal motion is included.

a = 8.2541 Å, b = 8.2541 Å, c = 8.2541 Å
α = 90.00°, β = 90.00°, γ = 90.00°
Space group Fm-3m (No. 225)
Symmetry-distinct sites (fractional):
Ac  0.2500  0.2500  0.2500
Tl  0.0000  0.0000  0.0000
Cd  0.0000  0.0000  0.5000

Largest 10 diffraction maxima, in order of rising 2θ, 2θ from 10° to 90°:
d/Å	I/Imax	(hkl)
4.766	3	1 1 1
4.127	3	2 0 0
2.918	100	2 2 0
2.064	19	4 0 0
1.846	2	4 2 0
1.685	41	4 2 2
1.459	13	4 4 0
1.305	17	6 2 0
1.191	4	4 4 4
1.103	22	6 4 2



AcZn2Cd: simulated X-ray powder pattern (copper Kα), based on a GGA-PBE-relaxed structure.
No peak broadening, texture or thermal motion is included.

a = 7.3037 Å, b = 7.3037 Å, c = 7.3037 Å
α = 90.00°, β = 90.00°, γ = 90.00°
Space group Fm-3m (No. 225)
Symmetry-distinct sites (fractional):
Ac  0.0000  0.0000  0.0000
Zn  0.2500  0.2500  0.2500
Cd  0.0000  0.0000  0.5000

Largest 10 diffraction maxima, in order of rising 2θ, 2θ from 10° to 90°:
d/Å	I/Imax	(hkl)
4.217	11	1 1 1
3.652	20	2 0 0
2.582	100	2 2 0
2.202	6	3 1 1
2.108	6	2 2 2
1.826	18	4 0 0
1.633	8	4 2 0
1.491	36	4 2 2
1.291	11	4 4 0
1.155	16	6 2 0



Ac3Ce: simulated X-ray powder pattern (copper Kα), based on a GGA-PBE-relaxed structure.
No peak broadening, texture or thermal motion is included.

a = 5.2869 Å, b = 5.2869 Å, c = 10.5155 Å
α = 90.00°, β = 90.00°, γ = 90.00°
Space group I4/mmm (No. 139)
Symmetry-distinct sites (fractional):
Ac  0.0000  0.0000  0.0000
Ac  0.0000  0.5000  0.2500
Ce  0.0000  0.0000  0.5000

Largest 10 diffraction maxima, in order of rising 2θ, 2θ from 10° to 90°:
d/Å	I/Imax	(hkl)
3.047	100	1 1 2
2.643	34	2 0 0
2.629	17	0 0 4
1.869	13	2 2 0
1.864	25	2 0 4
1.593	31	3 1 2
1.587	15	1 1 6
1.523	13	2 2 4
1.213	6	3 3 2
1.210	13	3 1 6